Starting from DFT lattice parameters and positions (PBE), the X-ray powder pattern of Ba2AgSnAu6 was calculated for Cu Kα (λ = 1.5418 Å).
Peak positions follow from Bragg's law for the DFT cell and can differ from measured ones.

Peak list (12 most intense, 2θ = 10–90°, sorted by position)
- 18.0 deg, I 30
- 18.6 deg, I 27
- 25.5 deg, I 26
- 25.7 deg, I 36
- 36.3 deg, I 75
- 36.5 deg, I 100
- 36.6 deg, I 62
- 37.7 deg, I 48
- 40.7 deg, I 32
- 41.4 deg, I 28
- 41.4 deg, I 32
- 52.0 deg, I 29

Atomic structure:
a b c (Å): 7.3145 7.3145 9.5550
angles (deg): 128.80 128.80 46.07
Sites, in units of the cell vectors:
Ba: 0.2420 0.2420 0.1992
Ba: 0.7580 0.7580 0.8008
Ag: 0.5000 0.5000 0.0000
Sn: 0.0000 0.0000 0.5000
Au: 0.2452 0.7403 0.7417
Au: 0.2540 0.2540 0.6012
Au: 0.2597 0.7548 0.2583
Au: 0.7403 0.2452 0.7417
Au: 0.7460 0.7460 0.3988
Au: 0.7548 0.2597 0.2583